Ca3Mn2Sb2O12: calculated X-ray diffraction stick pattern (Cu Ka), based on a structure optimized by DFT (PBE+U).
No peak broadening, texture or thermal motion is included.

Crystal structure
```
Ca3Mn2Sb2O12
1.0
5.4068 0.0000 0.0000
0.0000 7.7720 0.0000
-0.0278 0.0000 5.4347
Ca Mn Sb O
3 2 2 12
Direct
0.0000 0.0000 0.0000 Ca
0.1100 0.5000 0.9791 Ca
0.5110 0.0000 0.4820 Ca
0.5520 0.2566 0.9891 Mn
0.5520 0.7434 0.9891 Mn
0.0443 0.2573 0.4918 Sb
0.0443 0.7427 0.4918 Sb
0.0224 0.5000 0.3949 O
0.0701 0.0000 0.5715 O
0.2608 0.2080 0.1987 O
0.2608 0.7920 0.1987 O
0.3438 0.2924 0.7029 O
0.3438 0.7076 0.7029 O
0.5384 0.5000 0.0717 O
0.5621 0.0000 0.9088 O
0.7629 0.1939 0.2747 O
0.7629 0.8061 0.2747 O
0.8578 0.2814 0.8051 O
0.8578 0.7186 0.8051 O
```

The 10 most intense peaks (10° ≤ 2θ ≤ 80°), by intensity:
hkl 1 2 1, 2θ = 32.82°, I = 100.0; hkl 1 0 -1, 2θ = 23.15°, I = 30.9; hkl 0 2 0, 2θ = 22.88°, I = 28.9; hkl 1 0 0, 2θ = 16.38°, I = 28.5; hkl 1 0 1, 2θ = 23.27°, I = 28.0; hkl 2 0 0, 2θ = 33.14°, I = 24.8; hkl 0 0 2, 2θ = 32.96°, I = 23.9; hkl 1 2 3, 2θ = 58.88°, I = 21.6; hkl 0 4 0, 2θ = 46.75°, I = 19.0; hkl 2 0 -2, 2θ = 47.31°, I = 17.5